No. 1
Theoretical powder diffraction line list
Compound: NaPuUS4
Radiation: Cu Kα, 1.54184 Å
Structure: a structure optimized by DFT (PBE)
No peak broadening, texture or thermal motion is included.

a = 8.175 Å, b = 8.175 Å, c = 8.175 Å
α = 120.29°, β = 119.84°, γ = 89.88°
Fractional coordinates of all 14 atoms:
Na 0.372 0.122 0.250
Na 0.628 0.878 0.750
Pu 0.000 0.500 0.500
Pu 0.500 0.500 0.000
U 0.000 0.000 0.500
U 0.000 0.500 0.000
S 0.209 0.740 0.469
S 0.229 0.260 0.969
S 0.231 0.254 0.523
S 0.231 0.707 0.977
S 0.769 0.293 0.023
S 0.769 0.746 0.477
S 0.771 0.740 0.031
S 0.791 0.260 0.531

Largest 10 diffraction maxima, by angle, 5 to 70 degrees two-theta:
- 13.27°, I = 100
- 25.53°, I = 50
- 25.62°, I = 24
- 26.66°, I = 20
- 26.78°, I = 20
- 30.95°, I = 62
- 40.51°, I = 23
- 44.32°, I = 35
- 46.41°, I = 13
- 52.45°, I = 16

***

No. 2
Theoretical powder diffraction line list
Compound: SiHF3
Radiation: Cu Kα, 1.54184 Å
Structure: a structure optimized by DFT (PBE)
No peak broadening, texture or thermal motion is included.

a = 6.943 Å, b = 2.836 Å, c = 6.092 Å
α = 90.00°, β = 90.00°, γ = 90.00°
Fractional coordinates of all 10 atoms:
Si 0.250 0.000 0.240
Si 0.750 0.000 0.760
H 0.250 0.000 0.000
H 0.750 0.000 0.000
F 0.079 0.500 0.241
F 0.250 0.000 0.504
F 0.421 0.500 0.241
F 0.579 0.500 0.759
F 0.750 0.000 0.496
F 0.921 0.500 0.759

Largest 10 diffraction maxima, by angle, 5 to 70 degrees two-theta:
- 14.54°, I = 8
- 19.38°, I = 100
- 25.66°, I = 9
- 29.32°, I = 16
- 41.10°, I = 27
- 46.60°, I = 8
- 53.25°, I = 20
- 62.76°, I = 5
- 69.39°, I = 7
- 70.00°, I = 8

***

No. 3
Theoretical powder diffraction line list
Compound: Tl2Cd2F7
Radiation: Cu Kα, 1.54184 Å
Structure: a structure optimized by DFT (PBE)
No peak broadening, texture or thermal motion is included.

a = 5.906 Å, b = 5.906 Å, c = 6.869 Å
α = 94.11°, β = 94.11°, γ = 106.64°
Fractional coordinates of all 11 atoms:
Tl 0.205 0.205 0.082
Tl 0.795 0.795 0.918
Cd 0.190 0.810 0.500
Cd 0.810 0.190 0.500
F 0.080 0.453 0.323
F 0.089 0.089 0.691
F 0.453 0.080 0.323
F 0.500 0.500 0.000
F 0.547 0.920 0.677
F 0.911 0.911 0.309
F 0.920 0.547 0.677

Largest 10 diffraction maxima, by angle, 5 to 70 degrees two-theta:
- 15.73°, I = 34
- 22.86°, I = 100
- 27.19°, I = 19
- 29.28°, I = 31
- 30.05°, I = 24
- 31.77°, I = 25
- 40.44°, I = 24
- 42.06°, I = 24
- 43.62°, I = 19
- 49.87°, I = 21

***

No. 4
Theoretical powder diffraction line list
Compound: Ac6Pt3Br
Radiation: Cu Kα, 1.54184 Å
Structure: a structure optimized by DFT (PBE)
No peak broadening, texture or thermal motion is included.

a = 12.530 Å, b = 4.361 Å, c = 14.740 Å
α = 90.00°, β = 112.75°, γ = 90.00°
Fractional coordinates of all 20 atoms:
Ac 0.042 0.250 0.406
Ac 0.067 0.250 0.914
Ac 0.259 0.250 0.226
Ac 0.263 0.750 0.785
Ac 0.392 0.250 0.619
Ac 0.413 0.750 0.077
Ac 0.587 0.250 0.923
Ac 0.608 0.750 0.381
Ac 0.737 0.250 0.215
Ac 0.741 0.750 0.774
Ac 0.933 0.750 0.086
Ac 0.958 0.750 0.594
Pt 0.144 0.250 0.631
Pt 0.168 0.750 0.071
Pt 0.496 0.750 0.770
Pt 0.504 0.250 0.230
Pt 0.832 0.250 0.929
Pt 0.856 0.750 0.369
Br 0.349 0.750 0.428
Br 0.651 0.250 0.572

Largest 10 diffraction maxima, by angle, 5 to 70 degrees two-theta:
- 12.29°, I = 65
- 25.90°, I = 22
- 26.98°, I = 22
- 28.41°, I = 100
- 28.52°, I = 68
- 33.43°, I = 38
- 40.07°, I = 54
- 41.41°, I = 39
- 45.26°, I = 42
- 51.05°, I = 30

***

No. 5
Theoretical powder diffraction line list
Compound: Mg2ZnTc
Radiation: Cu Kα, 1.54184 Å
Structure: a structure optimized by DFT (PBE)
No peak broadening, texture or thermal motion is included.

a = 5.325 Å, b = 5.325 Å, c = 5.325 Å
α = 145.36°, β = 129.61°, γ = 62.59°
Fractional coordinates of all 4 atoms:
Mg 0.246 0.246 0.000
Mg 0.754 0.754 0.000
Zn 0.000 0.500 0.500
Tc 0.500 0.000 0.500

Largest 10 diffraction maxima, by angle, 5 to 70 degrees two-theta:
- 19.51°, I = 46
- 21.90°, I = 4
- 34.52°, I = 22
- 39.61°, I = 26
- 39.76°, I = 25
- 39.96°, I = 100
- 44.66°, I = 11
- 53.53°, I = 12
- 57.38°, I = 17
- 58.19°, I = 8

***

No. 6
Theoretical powder diffraction line list
Compound: Y5HoSc2
Radiation: Cu Kα, 1.54184 Å
Structure: a structure optimized by DFT (PBE)
No peak broadening, texture or thermal motion is included.

a = 8.282 Å, b = 7.124 Å, c = 6.581 Å
α = 74.25°, β = 55.88°, γ = 49.88°
Fractional coordinates of all 8 atoms:
Y 0.000 0.000 0.000
Y 0.004 0.504 0.996
Y 0.084 0.084 0.416
Y 0.504 0.004 0.496
Y 0.584 0.584 0.916
Ho 0.500 0.500 0.500
Sc 0.087 0.586 0.414
Sc 0.586 0.087 0.913

Largest 10 diffraction maxima, by angle, 5 to 70 degrees two-theta:
- 14.36°, I = 6
- 16.03°, I = 7
- 28.93°, I = 28
- 32.38°, I = 23
- 33.24°, I = 100
- 43.97°, I = 17
- 51.27°, I = 20
- 58.31°, I = 19
- 61.95°, I = 21
- 62.45°, I = 10

***

No. 7
Theoretical powder diffraction line list
Compound: Pu2ZrO7
Radiation: Cu Kα, 1.54184 Å
Structure: a structure optimized by DFT (PBE)
No peak broadening, texture or thermal motion is included.

a = 10.391 Å, b = 10.391 Å, c = 10.391 Å
α = 20.89°, β = 20.89°, γ = 20.89°
Fractional coordinates of all 10 atoms:
Pu 0.068 0.068 0.068
Pu 0.932 0.932 0.932
Zr 0.500 0.500 0.500
O 0.000 0.000 0.000
O 0.144 0.144 0.144
O 0.280 0.280 0.280
O 0.429 0.429 0.429
O 0.571 0.571 0.571
O 0.720 0.720 0.720
O 0.856 0.856 0.856

Largest 10 diffraction maxima, by angle, 5 to 70 degrees two-theta:
- 17.46°, I = 56
- 26.31°, I = 51
- 27.50°, I = 71
- 27.97°, I = 100
- 31.09°, I = 54
- 34.35°, I = 71
- 36.25°, I = 39
- 48.32°, I = 63
- 50.39°, I = 51
- 55.86°, I = 62

***

No. 8
Theoretical powder diffraction line list
Compound: BaNd4Te6
Radiation: Cu Kα, 1.54184 Å
Structure: a structure optimized by DFT (PBE)
No peak broadening, texture or thermal motion is included.

a = 7.752 Å, b = 7.752 Å, c = 23.378 Å
α = 90.00°, β = 90.00°, γ = 145.83°
Fractional coordinates of all 22 atoms:
Ba 0.161 0.839 0.750
Ba 0.839 0.161 0.250
Nd 0.092 0.908 0.126
Nd 0.092 0.908 0.374
Nd 0.361 0.639 0.038
Nd 0.361 0.639 0.462
Nd 0.639 0.361 0.538
Nd 0.639 0.361 0.962
Nd 0.908 0.092 0.626
Nd 0.908 0.092 0.874
Te 0.000 0.000 0.000
Te 0.000 0.000 0.500
Te 0.165 0.835 0.250
Te 0.267 0.733 0.588
Te 0.267 0.733 0.912
Te 0.454 0.546 0.160
Te 0.454 0.546 0.340
Te 0.546 0.454 0.660
Te 0.546 0.454 0.840
Te 0.733 0.267 0.088
Te 0.733 0.267 0.412
Te 0.835 0.165 0.750

Largest 10 diffraction maxima, by angle, 5 to 70 degrees two-theta:
- 25.83°, I = 55
- 26.90°, I = 56
- 27.71°, I = 100
- 29.02°, I = 55
- 29.33°, I = 29
- 37.05°, I = 35
- 39.41°, I = 34
- 39.59°, I = 70
- 40.43°, I = 23
- 41.15°, I = 25

***

No. 9
Theoretical powder diffraction line list
Compound: Sc2AgF8
Radiation: Cu Kα, 1.54184 Å
Structure: a structure optimized by DFT (PBE)
No peak broadening, texture or thermal motion is included.

a = 6.562 Å, b = 6.562 Å, c = 3.999 Å
α = 102.04°, β = 102.04°, γ = 89.49°
Fractional coordinates of all 11 atoms:
Sc 0.174 0.826 0.000
Sc 0.826 0.174 0.000
Ag 0.500 0.500 0.500
F 0.146 0.146 0.088
F 0.146 0.854 0.500
F 0.229 0.530 0.743
F 0.470 0.771 0.257
F 0.530 0.229 0.743
F 0.771 0.470 0.257
F 0.854 0.146 0.500
F 0.854 0.854 0.912

Largest 10 diffraction maxima, by angle, 5 to 70 degrees two-theta:
- 13.81°, I = 22
- 19.93°, I = 100
- 24.46°, I = 39
- 29.63°, I = 36
- 30.35°, I = 17
- 30.72°, I = 29
- 32.43°, I = 28
- 40.37°, I = 16
- 42.28°, I = 48
- 54.86°, I = 22

***

No. 10
Theoretical powder diffraction line list
Compound: Mg2MnPt
Radiation: Cu Kα, 1.54184 Å
Structure: a structure optimized by DFT (PBE)
No peak broadening, texture or thermal motion is included.

a = 3.286 Å, b = 3.286 Å, c = 6.561 Å
α = 90.00°, β = 90.00°, γ = 90.00°
Fractional coordinates of all 4 atoms:
Mg 0.000 0.000 0.000
Mg 0.500 0.500 0.313
Mn 0.000 0.000 0.566
Pt 0.500 0.500 0.768

Largest 10 diffraction maxima, by angle, 5 to 70 degrees two-theta:
- 13.50°, I = 90
- 27.15°, I = 28
- 30.42°, I = 33
- 38.77°, I = 100
- 41.22°, I = 26
- 47.98°, I = 9
- 50.10°, I = 20
- 55.96°, I = 12
- 57.87°, I = 13
- 65.03°, I = 8

***

No. 11
Theoretical powder diffraction line list
Compound: ThFe6B3
Radiation: Cu Kα, 1.54184 Å
Structure: a structure optimized by DFT (PBE)
No peak broadening, texture or thermal motion is included.

a = 5.094 Å, b = 5.176 Å, c = 5.580 Å
α = 87.35°, β = 64.19°, γ = 61.31°
Fractional coordinates of all 10 atoms:
Th 0.000 0.000 0.000
Fe 0.090 0.476 0.799
Fe 0.259 0.130 0.403
Fe 0.278 0.612 0.330
Fe 0.635 0.463 0.783
Fe 0.676 0.958 0.675
Fe 0.780 0.591 0.336
B 0.301 0.338 0.056
B 0.550 0.336 0.498
B 0.587 0.758 0.060

Largest 10 diffraction maxima, by angle, 5 to 70 degrees two-theta:
- 21.19°, I = 49
- 23.23°, I = 41
- 32.00°, I = 46
- 32.60°, I = 45
- 35.27°, I = 49
- 38.01°, I = 38
- 40.53°, I = 100
- 40.61°, I = 42
- 40.99°, I = 40
- 41.20°, I = 63

***

No. 12
Theoretical powder diffraction line list
Compound: Pr4GaSe2Cl
Radiation: Cu Kα, 1.54184 Å
Structure: a structure optimized by DFT (PBE)
No peak broadening, texture or thermal motion is included.

a = 8.545 Å, b = 8.545 Å, c = 8.545 Å
α = 120.43°, β = 119.39°, γ = 90.16°
Fractional coordinates of all 16 atoms:
Pr 0.252 0.248 0.004
Pr 0.254 0.245 0.490
Pr 0.254 0.764 0.010
Pr 0.256 0.752 0.504
Pr 0.744 0.248 0.496
Pr 0.746 0.236 0.990
Pr 0.746 0.755 0.510
Pr 0.748 0.752 0.996
Ga 0.500 0.000 0.000
Ga 0.500 0.500 0.500
Se 0.000 0.000 0.000
Se 0.000 0.000 0.500
Se 0.000 0.500 0.000
Se 0.500 0.000 0.500
Cl 0.000 0.500 0.500
Cl 0.500 0.500 0.000

Largest 10 diffraction maxima, by angle, 5 to 70 degrees two-theta:
- 25.39°, I = 12
- 25.66°, I = 12
- 29.56°, I = 100
- 41.91°, I = 13
- 42.31°, I = 49
- 42.60°, I = 12
- 52.15°, I = 13
- 52.73°, I = 13
- 69.52°, I = 11
- 69.65°, I = 11